Computed X-ray powder pattern of GdTlMo2O8 for Cu Kα, from a cell relaxed with PBE+U.
No peak broadening, texture or thermal motion is included.

Top 10 peaks for 2θ = 10–80°, sorted by position:
2θ (°), I (rel.)
20.8, 56
24.6, 47
28.1, 100
28.6, 72
28.9, 82
34.6, 27
44.1, 24
45.5, 58
51.2, 35
53.6, 28

Cell and atoms:
a = 5.1821 Å, b = 19.2884 Å, c = 8.2119 Å
α = 90.00°, β = 90.00°, γ = 90.00°
Space group Pbcn (No. 60)
Asymmetric unit:
Gd1 0.0000 0.0046 0.2500 x4
Tl1 0.0000 0.2267 0.7500 x4
Mo1 0.0219 0.4010 0.0114 x8
O1 0.0992 0.3157 0.4832 x8
O2 0.2296 0.4054 0.8370 x8
O3 0.2395 0.4099 0.1840 x8
O4 0.2496 0.0361 0.0033 x8